1.
For TbPrNd2Tl2, a crystal structure in Alexandria, relaxed with PBE gives the theoretical powder XRD pattern in this record (Cu Kα (λ = 1.5418 Å)).

Most intense lines, 2θ = 15–90°, sorted by position:
d (Å)  two_theta  intensity
3.075  29.03  17
2.899  30.85  54
2.881  31.04  21
2.870  31.16  100
2.790  32.08  81
2.653  33.78  34
2.623  34.18  59
2.442  36.81  23
2.214  40.76  17
1.787  51.10  18

Atomic structure:
Cell: 5.2468 10.2864 6.9554 Å, 90.00 90.00 90.00°
Fractional positions:
Tb 0.0000 0.1877 0.0000
Tb 0.0000 0.8123 0.5000
Pr 0.5000 0.0442 0.2784
Pr 0.5000 0.9558 0.7784
Nd 0.0000 0.4541 0.3743
Nd 0.0000 0.5459 0.8743
Nd 0.5000 0.3180 0.6493
Nd 0.5000 0.6820 0.1493
Tl 0.0000 0.1305 0.5411
Tl 0.0000 0.8695 0.0411
Tl 0.5000 0.3591 0.1156
Tl 0.5000 0.6409 0.6156

=====

2.
For CuSiB, a crystal structure in Alexandria, relaxed with PBE gives the theoretical powder XRD pattern in this record (Cu Kα (λ = 1.5418 Å)).

Most intense lines, 2θ = 15–90°, sorted by position:
d (Å)  two_theta  intensity
3.090  28.90  58
2.648  33.85  100
2.575  34.84  34
2.382  37.76  15
2.267  39.76  19
2.255  39.98  17
1.863  48.90  25
1.826  49.94  24
1.786  51.16  17
1.775  51.48  14

Atomic structure:
Cell: 3.5137 3.9376 5.3427 Å, 88.07 82.99 88.23°
Fractional positions:
Cu 0.0000 0.0000 0.0000
Cu 0.4955 0.7117 0.4847
Si 0.1187 0.2155 0.5547
Si 0.6147 0.5065 0.0479
B 0.1615 0.5161 0.8536
B 0.6673 0.2042 0.3596

=====

3.
For K3Na3CaI8, a crystal structure in Alexandria, relaxed with PBE gives the theoretical powder XRD pattern in this record (Cu Kα (λ = 1.5418 Å)).

Most intense lines, 2θ = 15–90°, sorted by position:
d (Å)  two_theta  intensity
4.096  21.70  17
3.882  22.91  53
3.405  26.17  100
2.457  36.58  34
2.362  38.10  38
2.047  44.25  20
1.941  46.81  19
1.703  53.84  11
1.547  59.76  11
1.500  61.87  16

Atomic structure:
Cell: 9.4502 9.4502 9.8477 Å, 118.73 118.73 59.96°
Fractional positions:
K 0.0000 0.0000 0.0000
K 0.0000 0.5000 0.0000
K 0.5000 0.0000 0.0000
Na 0.0000 0.5000 0.5000
Na 0.5000 0.0000 0.5000
Na 0.5000 0.5000 0.5000
Ca 0.0000 0.0000 0.5000
I 0.2332 0.2332 0.7172
I 0.2334 0.7506 0.7171
I 0.2494 0.7666 0.2829
I 0.2584 0.2584 0.2757
I 0.7416 0.7416 0.7243
I 0.7506 0.2334 0.7171
I 0.7666 0.2494 0.2829
I 0.7668 0.7668 0.2828

=====

4.
For ZrAlCr2, a crystal structure in Alexandria, relaxed with PBE gives the theoretical powder XRD pattern in this record (Cu Kα (λ = 1.5418 Å)).

Most intense lines, 2θ = 15–90°, sorted by position:
d (Å)  two_theta  intensity
4.168  21.32  10
4.130  21.52  10
2.308  39.02  100
2.084  43.42  18
2.065  43.85  18
1.870  48.70  13
1.467  63.42  11
1.242  76.73  12
1.234  77.33  12
1.154  83.83  9

Atomic structure:
Cell: 3.7396 4.1296 4.1681 Å, 90.00 90.00 90.00°
Fractional positions:
Zr 0.0000 0.0000 0.0000
Al 0.0000 0.5000 0.5000
Cr 0.5000 0.0000 0.5000
Cr 0.5000 0.5000 0.0000

=====

5.
For Nb4NiC2S4, a crystal structure in Alexandria, relaxed with PBE gives the theoretical powder XRD pattern in this record (Cu Kα (λ = 1.5418 Å)).

Most intense lines, 2θ = 15–90°, sorted by position:
d (Å)  two_theta  intensity
2.859  31.28  100
2.627  34.13  22
2.514  35.72  32
2.499  35.94  70
2.261  39.88  59
2.243  40.21  27
2.143  42.18  38
2.127  42.50  72
1.661  55.29  75
1.313  71.91  23

Atomic structure:
Cell: 5.7523 3.3247 8.6615 Å, 90.00 102.20 90.00°
Fractional positions:
Nb 0.1172 0.0000 0.3625
Nb 0.3703 0.5000 0.6369
Nb 0.6297 0.5000 0.3631
Nb 0.8828 0.0000 0.6375
Ni 0.0000 0.0000 0.0000
C 0.0000 0.5000 0.5000
C 0.5000 0.0000 0.5000
S 0.2269 0.5000 0.1638
S 0.2772 0.0000 0.8352
S 0.7228 0.0000 0.1648
S 0.7731 0.5000 0.8362

=====

6.
For NaIO4, a crystal structure in Alexandria, relaxed with PBE gives the theoretical powder XRD pattern in this record (Cu Kα (λ = 1.5418 Å)).

Most intense lines, 2θ = 15–90°, sorted by position:
d (Å)  two_theta  intensity
5.811  15.25  100
3.639  24.46  66
3.394  26.26  98
2.905  30.78  18
2.846  31.43  45
2.663  33.65  18
1.891  48.11  18
1.866  48.80  16
1.820  50.13  19
1.735  52.77  23

Atomic structure:
Cell: 6.0593 4.9838 5.5544 Å, 90.00 106.47 90.00°
Fractional positions:
Na 0.0000 0.0000 0.0000
Na 0.0000 0.5000 0.5000
I 0.5000 0.0000 0.5000
I 0.5000 0.5000 0.0000
O 0.2160 0.1473 0.4065
O 0.2160 0.3527 0.9065
O 0.3717 0.7493 0.7104
O 0.3717 0.7507 0.2104
O 0.6283 0.2493 0.7896
O 0.6283 0.2507 0.2896
O 0.7840 0.6473 0.0935
O 0.7840 0.8527 0.5935

=====

7.
For K2PmYO4, a crystal structure in Alexandria, relaxed with PBE gives the theoretical powder XRD pattern in this record (Cu Kα (λ = 1.5418 Å)).

Most intense lines, 2θ = 15–90°, sorted by position:
d (Å)  two_theta  intensity
3.142  28.41  30
3.035  29.43  23
2.924  30.58  64
2.575  34.83  100
2.026  44.73  15
1.870  48.68  32
1.776  51.47  32
1.607  57.33  15
1.546  59.83  22
1.462  63.66  15

Atomic structure:
Cell: 6.1494 3.5518 6.6081 Å, 90.00 108.03 90.00°
Fractional positions:
K 0.0000 0.0000 0.0000
K 0.5000 0.5000 0.0000
Pm 0.0000 0.5000 0.5000
Y 0.5000 0.0000 0.5000
O 0.2361 0.0000 0.6887
O 0.2769 0.5000 0.3128
O 0.7231 0.5000 0.6872
O 0.7639 0.0000 0.3113

=====

8.
For NaNpPd2O8, a crystal structure in Alexandria, relaxed with PBE gives the theoretical powder XRD pattern in this record (Cu Kα (λ = 1.5418 Å)).

Most intense lines, 2θ = 15–90°, sorted by position:
d (Å)  two_theta  intensity
3.878  22.93  65
3.521  25.30  71
3.379  26.38  61
3.085  28.95  18
2.675  33.50  100
1.824  50.00  26
1.820  50.11  24
1.784  51.22  20
1.780  51.33  20
1.446  64.43  23

Atomic structure:
Cell: 4.8675 6.3995 4.8914 Å, 90.00 92.36 90.00°
Fractional positions:
Na 0.0000 0.0000 0.0000
Np 0.0000 0.5000 0.0000
Pd 0.5000 0.2484 0.5000
Pd 0.5000 0.7516 0.5000
O 0.2040 0.2765 0.1986
O 0.2040 0.7235 0.1986
O 0.3105 0.5000 0.6838
O 0.3244 0.0000 0.6699
O 0.6756 0.0000 0.3301
O 0.6895 0.5000 0.3162
O 0.7960 0.2765 0.8014
O 0.7960 0.7235 0.8014

=====

9.
For Ge2Te8Mo, a crystal structure in Alexandria, relaxed with PBE gives the theoretical powder XRD pattern in this record (Cu Kα (λ = 1.5418 Å)).

Most intense lines, 2θ = 15–90°, sorted by position:
d (Å)  two_theta  intensity
5.561  15.94  76
3.662  24.31  76
3.526  25.26  100
2.971  30.08  62
2.764  32.39  50
2.650  33.83  30
2.537  35.39  31
2.378  37.84  63
1.975  45.95  25
1.854  49.15  27

Atomic structure:
Cell: 8.1425 8.1425 6.2002 Å, 102.03 102.03 86.15°
Fractional positions:
Ge 0.2191 0.2191 0.1546
Ge 0.7809 0.7809 0.8454
Te 0.0976 0.7559 0.7596
Te 0.2258 0.2258 0.7291
Te 0.2441 0.9024 0.2404
Te 0.4530 0.4530 0.2662
Te 0.5470 0.5470 0.7338
Te 0.7559 0.0976 0.7596
Te 0.7742 0.7742 0.2709
Te 0.9024 0.2441 0.2404
Mo 0.0000 0.0000 0.5000

=====

10.
For Ta2V3Mo4, a crystal structure in Alexandria, relaxed with PBE gives the theoretical powder XRD pattern in this record (Cu Kα (λ = 1.5418 Å)).

Most intense lines, 2θ = 15–90°, sorted by position:
d (Å)  two_theta  intensity
3.862  23.03  21
2.234  40.37  100
2.218  40.68  64
2.212  40.79  31
1.576  58.58  11
1.572  58.73  21
1.290  73.40  17
1.287  73.57  22
1.285  73.76  11
1.117  87.27  11

Atomic structure:
Cell: 5.2294 5.2294 8.1087 Å, 121.30 121.30 50.59°
Fractional positions:
Ta 0.1651 0.1651 0.0034
Ta 0.8349 0.8349 0.9966
V 0.1663 0.1663 0.6630
V 0.5000 0.5000 0.0000
V 0.8337 0.8337 0.3370
Mo 0.1680 0.1680 0.3390
Mo 0.4970 0.4970 0.6630
Mo 0.5030 0.5030 0.3370
Mo 0.8320 0.8320 0.6610

=====

11.
For LiV2Pd6, a crystal structure in Alexandria, relaxed with PBE gives the theoretical powder XRD pattern in this record (Cu Kα (λ = 1.5418 Å)).

Most intense lines, 2θ = 15–90°, sorted by position:
d (Å)  two_theta  intensity
3.757  23.68  32
2.194  41.14  100
2.169  41.63  84
1.879  48.45  5
1.543  59.97  32
1.272  74.64  9
1.257  75.65  32
1.252  75.98  14
1.147  84.47  11
1.097  89.30  6

Atomic structure:
Cell: 7.5146 7.5146 2.7025 Å, 90.00 90.00 120.00°
Fractional positions:
Li 0.0000 0.0000 0.0000
V 0.3333 0.6667 0.5000
V 0.6667 0.3333 0.5000
Pd 0.0000 0.3346 0.7519
Pd 0.0000 0.6654 0.2481
Pd 0.3346 0.0000 0.7519
Pd 0.3346 0.3346 0.2481
Pd 0.6654 0.0000 0.2481
Pd 0.6654 0.6654 0.7519

=====

12.
For Np4NiSn8, a crystal structure in Alexandria, relaxed with PBE gives the theoretical powder XRD pattern in this record (Cu Kα (λ = 1.5418 Å)).

Most intense lines, 2θ = 15–90°, sorted by position:
d (Å)  two_theta  intensity
4.439  20.00  18
3.020  29.58  19
2.776  32.25  49
2.606  34.41  20
2.517  35.68  100
2.316  38.89  38
2.307  39.05  37
2.049  44.21  17
1.634  56.29  26
1.369  68.55  17

Atomic structure:
Cell: 4.6135 4.6318 15.7734 Å, 90.00 90.00 90.00°
Fractional positions:
Np 0.0000 0.0000 0.0000
Np 0.0000 0.5000 0.0674
Np 0.5000 0.0000 0.5780
Np 0.5000 0.5000 0.0012
Ni 0.0000 0.0000 0.4786
Sn 0.0000 0.0000 0.3129
Sn 0.0000 0.0000 0.7176
Sn 0.0000 0.5000 0.5723
Sn 0.0000 0.5000 0.8578
Sn 0.5000 0.0000 0.1344
Sn 0.5000 0.0000 0.8470
Sn 0.5000 0.5000 0.2486
Sn 0.5000 0.5000 0.4369